This entry pairs a crystal structure of DyAl10Tc2 with its theoretical powder diffractogram. Radiation: Cu Kα. Structure: a GGA-PBE-relaxed structure.
Kinematic intensities with the Lorentz-polarization factor, no thermal factor.

Structural model:
```
data_DyAl10Tc2
_cell_length_a 9.1410
_cell_length_b 10.3458
_cell_length_c 9.1907
_cell_angle_alpha 90.00
_cell_angle_beta 90.00
_cell_angle_gamma 90.00
_space_group_name_H-M_alt 'C m c m'
_space_group_IT_number 63
_space_group_name_Hall '-C 2c 2'
loop_
_atom_site_label
_atom_site_type_symbol
_atom_site_fract_x
_atom_site_fract_y
_atom_site_fract_z
Dy1 Dy 0.0000 0.1277 0.2500
Al1 Al 0.0000 0.1514 0.5968
Al2 Al 0.0000 0.3753 0.0385
Al3 Al 0.1562 0.3708 0.7500
Al4 Al 0.2269 0.0000 0.0000
Al5 Al 0.2265 0.3652 0.2500
Tc1 Tc 0.2500 0.2500 0.0000
```

Principal peaks in the range 15° ≤ 2θ ≤ 90°, in order of rising 2θ:
| index | d [Å] | Rel. int. |
| --- | --- | --- |
| 1 1 1 | 5.492 | 31 |
| 0 2 0 | 5.173 | 35 |
| 0 2 2 | 3.430 | 29 |
| 2 0 2 | 3.241 | 51 |
| 2 2 1 | 3.209 | 29 |
| 0 2 3 | 2.637 | 34 |
| 3 1 2 | 2.466 | 28 |
| 0 0 4 | 2.298 | 35 |
| 4 0 0 | 2.284 | 86 |
| 0 4 2 | 2.253 | 100 |